Entry 1:
Diffraction record for Sr2In3Ga5. The X-ray powder pattern is calculated, not measured: it uses the GGA-PBE geometry in Alexandria and a wavelength of 1.5418 Å.

Peak list (10 most intense, 10 to 90 degrees two-theta, low angle first)
2theta, I (rel.)
30.41, 481
31.15, 1000
38.14, 756
41.96, 384
44.54, 223
49.54, 241
55.03, 253
60.05, 179
64.60, 235
71.54, 148

Atomic structure:
Unit cell a=4.7196 b=4.7196 c=11.2717 alpha=90.00 beta=90.00 gamma=90.00
Space group P-4m2 (No. 115)
Inequivalent atoms, fractional coordinates:
1 Sr 0.0000 0.5000 0.2295 x2
2 In 0.0000 0.5000 0.6485 x2
3 In 0.5000 0.5000 0.5000 x1
4 Ga 0.0000 0.0000 0.0000 x1
5 Ga 0.0000 0.0000 0.5000 x1
6 Ga 0.0000 0.5000 0.8883 x2
7 Ga 0.5000 0.5000 0.0000 x1

=====

Entry 2:
Diffraction record for Sr2InGa3. The X-ray powder pattern is calculated, not measured: it uses the GGA-PBE geometry in Alexandria and a wavelength of 1.5418 Å.

Peak list (10 most intense, 10 to 90 degrees two-theta, low angle first)
2theta, I (rel.)
30.96, 576
31.24, 1000
31.65, 346
35.83, 396
37.15, 465
38.23, 646
49.59, 192
52.57, 257
60.85, 268
66.34, 167

Atomic structure:
Unit cell a=11.3028 b=4.8398 c=7.9078 alpha=90.00 beta=134.34 gamma=90.00
Space group Cm (No. 8)
Inequivalent atoms, fractional coordinates:
1 Sr 0.0000 0.0000 0.0000 x2
2 Sr 0.0934 0.0000 0.5906 x2
3 In 0.2065 0.5000 0.0168 x2
4 Ga 0.2079 0.5000 0.3978 x2
5 Ga 0.3758 0.0000 0.5486 x2
6 Ga 0.3947 0.0000 0.2072 x2

=====

Entry 3:
Diffraction record for SrIn12Ga6. The X-ray powder pattern is calculated, not measured: it uses the GGA-PBE geometry in Alexandria and a wavelength of 1.5418 Å.

Peak list (10 most intense, 10 to 90 degrees two-theta, low angle first)
2theta, I (rel.)
28.69, 1000
31.97, 597
33.38, 198
34.20, 275
34.47, 216
35.91, 288
37.04, 209
38.29, 213
41.25, 218
42.72, 520

Atomic structure:
Unit cell a=13.7682 b=13.7682 c=9.1935 alpha=90.00 beta=90.00 gamma=120.00
Space group R-3m (No. 166, hexagonal axes)
Inequivalent atoms, fractional coordinates:
1 Sr 0.0000 0.0000 0.0000 x3
2 In 0.0000 0.3887 0.5000 x18
3 In 0.0799 0.1598 0.3300 x18
4 Ga 0.0183 0.5091 0.2262 x18

=====

Entry 4:
Diffraction record for Sr2InGa10. The X-ray powder pattern is calculated, not measured: it uses the GGA-PBE geometry in Alexandria and a wavelength of 1.5418 Å.

Peak list (10 most intense, 10 to 90 degrees two-theta, low angle first)
2theta, I (rel.)
14.80, 933
18.84, 580
29.85, 407
33.72, 1000
34.06, 397
34.84, 508
34.96, 583
35.77, 529
36.67, 682
39.65, 336

Atomic structure:
Unit cell a=5.9874 b=5.9333 c=18.8380 alpha=90.00 beta=90.37 gamma=90.00
Space group P2_1/c (No. 14)
Inequivalent atoms, fractional coordinates:
1 Sr 0.0014 0.2183 0.4155 x4
2 In 0.5000 0.0000 0.0000 x2
3 Ga 0.2109 0.2051 0.1196 x4
4 Ga 0.2117 0.7054 0.3796 x4
5 Ga 0.4982 0.0000 0.5675 x4
6 Ga 0.5005 0.0617 0.7074 x4
7 Ga 0.4999 0.1101 0.8447 x4

=====

Entry 5:
Diffraction record for Sr11In3Ga4. The X-ray powder pattern is calculated, not measured: it uses the GGA-PBE geometry in Alexandria and a wavelength of 1.5418 Å.

Peak list (10 most intense, 10 to 90 degrees two-theta, low angle first)
2theta, I (rel.)
17.63, 191
26.59, 790
28.99, 624
30.35, 872
30.79, 1000
33.74, 280
39.74, 494
44.11, 324
51.39, 337
70.71, 207

Atomic structure:
Unit cell a=17.4221 b=17.4221 c=17.4221 alpha=90.00 beta=90.00 gamma=90.00
Space group Fm-3m (No. 225)
Inequivalent atoms, fractional coordinates:
1 Sr 0.0000 0.0000 0.0000 x4
2 Sr 0.0000 0.0000 0.5000 x4
3 Sr 0.0000 0.1689 0.1689 x48
4 Sr 0.1331 0.1331 0.3669 x32
5 In 0.0000 0.0000 0.2804 x24
6 Ga 0.1938 0.1938 0.1938 x32

=====

Entry 6:
Diffraction record for SrIn3Ga2. The X-ray powder pattern is calculated, not measured: it uses the GGA-PBE geometry in Alexandria and a wavelength of 1.5418 Å.

Peak list (10 most intense, 10 to 90 degrees two-theta, low angle first)
2theta, I (rel.)
24.62, 137
28.31, 211
32.19, 322
33.02, 1000
35.75, 359
37.76, 454
38.78, 372
42.11, 130
53.76, 213
61.54, 214

Atomic structure:
Unit cell a=4.6441 b=8.9544 c=15.0697 alpha=90.00 beta=90.00 gamma=90.00
Space group Immm (No. 71)
Inequivalent atoms, fractional coordinates:
1 Sr 0.0000 0.0000 0.1383 x4
2 In 0.0000 0.2107 0.3277 x8
3 In 0.0000 0.3347 0.0000 x4
4 Ga 0.0000 0.3533 0.5000 x4
5 Ga 0.0000 0.5000 0.1889 x4

=====

Entry 7:
Diffraction record for Sr2In5Ga3. The X-ray powder pattern is calculated, not measured: it uses the GGA-PBE geometry in Alexandria and a wavelength of 1.5418 Å.

Peak list (10 most intense, 10 to 90 degrees two-theta, low angle first)
2theta, I (rel.)
29.42, 296
30.49, 1000
37.65, 614
40.61, 360
42.76, 194
48.49, 145
54.30, 207
58.26, 152
63.55, 251
69.96, 135

Atomic structure:
Unit cell a=4.7785 b=4.7785 c=11.7917 alpha=90.00 beta=90.00 gamma=90.00
Space group P-4m2 (No. 115)
Inequivalent atoms, fractional coordinates:
1 Sr 0.0000 0.5000 0.2319 x2
2 In 0.0000 0.0000 0.5000 x1
3 In 0.0000 0.5000 0.6524 x2
4 In 0.5000 0.5000 0.0000 x1
5 In 0.5000 0.5000 0.5000 x1
6 Ga 0.0000 0.0000 0.0000 x1
7 Ga 0.0000 0.5000 0.8804 x2

=====

Entry 8:
Diffraction record for SrTmInGa. The X-ray powder pattern is calculated, not measured: it uses the GGA-PBE geometry in Alexandria and a wavelength of 1.5418 Å.

Peak list (10 most intense, 10 to 90 degrees two-theta, low angle first)
2theta, I (rel.)
20.22, 93
23.38, 26
33.31, 1000
39.28, 53
47.82, 180
52.42, 23
59.53, 370
69.95, 114
79.71, 158
89.18, 41

Atomic structure:
Unit cell a=7.6081 b=7.6081 c=7.6081 alpha=90.00 beta=90.00 gamma=90.00
Space group F-43m (No. 216)
Inequivalent atoms, fractional coordinates:
1 Sr 0.0000 0.0000 0.0000 x4
2 Tm 0.0000 0.0000 0.5000 x4
3 In 0.2500 0.2500 0.2500 x4
4 Ga 0.2500 0.2500 0.7500 x4